Simulated XRD peak list of UNi2B4 for copper Kα, from a DFT-relaxed cell (PBE, Alexandria).
Intensities are scaled so that the largest is 100.

Structural model:
abc: 3.0267 3.1373 14.4142
angles: 90.00 90.00 90.00
Space group Immm (No. 71)
Asymmetric unit:
U (0.0000, 0.0000, 0.0000) [2 per cell]
Ni (0.0000, 0.5000, 0.3009) [4 per cell]
B (0.0000, 0.0000, 0.3956) [4 per cell]
B (0.0000, 0.5000, 0.1560) [4 per cell]

Largest 8 diffraction maxima, in order of rising 2θ, 5° ≤ 2θ ≤ 70°:
2theta, I (rel.), h k l
12.28, 56, 0 0 2
24.71, 49, 0 0 4
29.13, 71, 0 1 1
30.17, 36, 1 0 1
35.04, 77, 1 0 3
42.59, 58, 0 1 5
43.39, 100, 1 1 2
67.46, 26, 1 1 8

Simulated XRD peak list of SiAgTe4 for copper Kα, from a DFT-relaxed cell (PBE, Alexandria).
Intensities are scaled so that the largest is 100.

Structural model:
abc: 20.5898 5.3202 7.5412
angles: 90.00 100.64 90.00
Space group C2/m (No. 12)
Asymmetric unit:
Si (0.1329, 0.0000, 0.1500) [4 per cell]
Ag (0.2393, 0.0000, 0.6614) [4 per cell]
Te (0.0507, 0.0000, 0.8493) [4 per cell]
Te (0.1080, 0.0000, 0.5271) [4 per cell]
Te (0.1264, 0.5000, 0.2960) [4 per cell]
Te (0.2457, 0.5000, 0.9066) [4 per cell]

Largest 8 diffraction maxima, in order of rising 2θ, 5° ≤ 2θ ≤ 70°:
2theta, I (rel.), h k l
8.74, 68, 2 0 0
17.23, 55, 1 1 0
29.03, 100, 1 1 -2
30.36, 82, 3 1 -2
33.69, 90, 0 2 0
41.25, 59, 1 1 3
43.32, 46, 6 2 0
46.51, 62, 7 1 2